# 1
Theoretical X-ray diffraction stick pattern of UCoSnPt for copper Kα, from the PBE geometry in Alexandria.
Kinematic intensities with the Lorentz-polarization factor, no thermal factor.

Crystal structure
```
UCoSnPt
1.0
6.685 0.000 0.000
0.000 6.685 0.000
0.000 0.000 6.685
U Co Sn Pt
4 4 4 4
Cartesian
0.000 0.000 0.000
0.000 3.342 3.342
3.342 0.000 3.342
3.342 3.342 0.000
1.671 1.671 5.014
1.671 5.014 1.671
5.014 1.671 1.671
5.014 5.014 5.014
0.000 0.000 3.342
0.000 3.342 0.000
3.342 0.000 0.000
3.342 3.342 3.342
1.671 1.671 1.671
1.671 5.014 5.014
5.014 1.671 5.014
5.014 5.014 1.671
```

Top 6 peaks for 15° ≤ 2θ ≤ 90°, by angle:
2θ/deg, I_rel
23.04, 18
38.07, 100
44.97, 10
54.94, 18
68.80, 36
81.44, 12


# 2
Theoretical X-ray diffraction stick pattern of Ta2CoPt for copper Kα, from the PBE geometry in Alexandria.
Kinematic intensities with the Lorentz-polarization factor, no thermal factor.

Crystal structure
```
Ta2CoPt
1.0
2.807 0.000 0.000
0.000 3.933 0.000
-0.410 0.000 5.580
Ta Co Pt
2 1 1
Cartesian
-0.005 0.000 1.465
2.402 0.000 4.115
1.199 1.966 2.790
1.404 1.966 0.000
```

Top 6 peaks for 15° ≤ 2θ ≤ 90°, by angle:
2θ/deg, I_rel
39.56, 100
44.11, 19
46.16, 17
47.67, 14
65.76, 11
81.01, 13


# 3
Theoretical X-ray diffraction stick pattern of Ta2CoPt6 for copper Kα, from the PBE geometry in Alexandria.
Kinematic intensities with the Lorentz-polarization factor, no thermal factor.

Crystal structure
```
Ta2CoPt6
1.0
6.003 -1.942 0.000
6.003 1.942 0.000
-2.003 0.000 5.977
Ta Co Pt
2 1 6
Cartesian
0.050 0.000 1.884
9.955 0.000 4.093
6.003 0.000 0.000
1.928 0.000 0.022
2.080 0.000 3.975
4.119 0.000 1.975
5.885 0.000 4.002
7.924 0.000 2.003
8.076 0.000 5.955
```

Top 6 peaks for 15° ≤ 2θ ≤ 90°, by angle:
2θ/deg, I_rel
39.45, 100
45.32, 16
45.53, 17
46.78, 16
80.02, 13
81.85, 12


# 4
Theoretical X-ray diffraction stick pattern of TaCoPt2 for copper Kα, from the PBE geometry in Alexandria.
Kinematic intensities with the Lorentz-polarization factor, no thermal factor.

Crystal structure
```
TaCoPt2
1.0
3.871 0.000 0.000
0.000 3.871 0.000
0.000 0.000 7.916
Ta Co Pt
2 2 4
Cartesian
0.000 0.000 0.000
1.935 1.935 3.958
0.000 0.000 3.958
1.935 1.935 0.000
0.000 1.935 1.979
0.000 1.935 5.937
1.935 0.000 1.979
1.935 0.000 5.937
```

Top 6 peaks for 15° ≤ 2θ ≤ 90°, by angle:
2θ/deg, I_rel
40.05, 100
45.85, 17
46.94, 32
67.71, 21
80.88, 13
82.48, 26


# 5
Theoretical X-ray diffraction stick pattern of TaVCoPt for copper Kα, from the PBE geometry in Alexandria.
Kinematic intensities with the Lorentz-polarization factor, no thermal factor.

Crystal structure
```
TaVCoPt
1.0
3.732 0.000 0.000
0.000 3.883 0.000
0.000 0.000 3.919
Ta V Co Pt
1 1 1 1
Cartesian
0.000 0.000 0.000
1.866 0.000 1.959
1.866 1.941 0.000
0.000 1.941 1.959
```

Top 6 peaks for 15° ≤ 2θ ≤ 90°, by angle:
2θ/deg, I_rel
23.84, 28
32.46, 26
40.67, 100
46.34, 17
46.79, 17
48.80, 15


# 6
Theoretical X-ray diffraction stick pattern of Tb8CoPt2 for copper Kα, from the PBE geometry in Alexandria.
Kinematic intensities with the Lorentz-polarization factor, no thermal factor.

Crystal structure
```
Tb8CoPt2
1.0
4.251 -6.190 0.000
4.251 6.190 0.000
-2.262 0.000 5.732
Tb Co Pt
8 1 2
Cartesian
0.000 0.000 0.000
-0.147 1.620 3.346
2.601 2.403 1.070
-0.147 -1.620 3.346
2.927 1.617 4.672
2.601 -2.403 1.070
2.927 -1.617 4.672
5.161 0.000 2.136
0.802 0.000 5.661
1.389 3.918 3.954
1.389 -3.918 3.954
```

Top 6 peaks for 15° ≤ 2θ ≤ 90°, by angle:
2θ/deg, I_rel
29.89, 28
31.15, 100
32.56, 48
34.49, 29
38.67, 29
39.63, 41


# 7
Theoretical X-ray diffraction stick pattern of Tb7Co2Pt2 for copper Kα, from the PBE geometry in Alexandria.
Kinematic intensities with the Lorentz-polarization factor, no thermal factor.

Crystal structure
```
Tb7Co2Pt2
1.0
3.794 -5.334 0.000
3.794 5.334 0.000
0.000 0.000 6.740
Tb Co Pt
7 2 2
Cartesian
0.000 0.000 0.000
1.897 2.667 1.741
1.897 2.667 5.000
1.897 -2.667 1.741
1.897 -2.667 5.000
3.794 0.000 1.690
3.794 0.000 5.050
3.794 2.233 0.000
3.794 -2.233 0.000
1.419 0.000 3.370
6.169 0.000 3.370
```

Top 6 peaks for 15° ≤ 2θ ≤ 90°, by angle:
2θ/deg, I_rel
28.88, 45
30.20, 53
31.40, 38
33.61, 69
38.68, 39
39.56, 100


# 8
Theoretical X-ray diffraction stick pattern of Co2TePt for copper Kα, from the PBE geometry in Alexandria.
Kinematic intensities with the Lorentz-polarization factor, no thermal factor.

Crystal structure
```
Co2TePt
1.0
6.256 0.000 0.000
0.000 6.256 0.000
0.000 0.000 6.256
Co Te Pt
8 4 4
Cartesian
0.000 0.000 0.000
0.000 3.128 3.128
1.564 1.564 1.564
1.564 4.692 4.692
3.128 0.000 3.128
3.128 3.128 0.000
4.692 1.564 4.692
4.692 4.692 1.564
1.564 1.564 4.692
1.564 4.692 1.564
4.692 1.564 1.564
4.692 4.692 4.692
0.000 0.000 3.128
0.000 3.128 0.000
3.128 0.000 0.000
3.128 3.128 3.128
```

Top 6 peaks for 15° ≤ 2θ ≤ 90°, by angle:
2θ/deg, I_rel
24.65, 26
40.80, 100
48.25, 14
59.07, 17
74.28, 33
88.40, 11


# 9
Theoretical X-ray diffraction stick pattern of CoTePt2 for copper Kα, from the PBE geometry in Alexandria.
Kinematic intensities with the Lorentz-polarization factor, no thermal factor.

Crystal structure
```
CoTePt2
1.0
3.363 0.000 0.000
0.000 3.494 0.000
0.000 0.000 5.664
Co Te Pt
1 1 2
Cartesian
0.000 0.000 0.000
1.681 1.747 4.132
0.000 0.000 2.636
1.681 1.747 1.145
```

Top 6 peaks for 15° ≤ 2θ ≤ 90°, by angle:
2θ/deg, I_rel
15.65, 21
37.10, 100
41.02, 73
41.70, 70
69.07, 31
70.49, 29


# 10
Theoretical X-ray diffraction stick pattern of CoTePt2 for copper Kα, from the PBE geometry in Alexandria.
Kinematic intensities with the Lorentz-polarization factor, no thermal factor.

Crystal structure
```
CoTePt2
1.0
5.344 0.000 0.000
0.000 5.599 0.000
0.000 0.000 4.589
Co Te Pt
2 2 4
Cartesian
0.000 0.000 0.000
2.672 2.799 0.000
0.000 2.799 0.000
2.672 0.000 0.000
0.000 1.309 2.295
0.000 4.290 2.295
2.672 1.490 2.295
2.672 4.109 2.295
```

Top 6 peaks for 15° ≤ 2θ ≤ 90°, by angle:
2θ/deg, I_rel
19.34, 31
33.54, 70
37.64, 100
39.26, 46
51.29, 82
52.57, 39


# 11
Theoretical X-ray diffraction stick pattern of CoTePt4 for copper Kα, from the PBE geometry in Alexandria.
Kinematic intensities with the Lorentz-polarization factor, no thermal factor.

Crystal structure
```
CoTePt4
1.0
0.000 3.758 3.758
3.758 0.000 3.758
3.758 3.758 0.000
Co Te Pt
1 1 4
Cartesian
0.000 0.000 0.000
5.638 5.638 5.638
2.816 2.816 2.816
4.701 4.701 2.816
4.701 2.816 4.701
2.816 4.701 4.701
```

Top 6 peaks for 15° ≤ 2θ ≤ 90°, by angle:
2θ/deg, I_rel
20.46, 43
39.77, 100
41.62, 65
64.41, 32
70.92, 31
85.74, 26


# 12
Theoretical X-ray diffraction stick pattern of Co2TePt for copper Kα, from the PBE geometry in Alexandria.
Kinematic intensities with the Lorentz-polarization factor, no thermal factor.

Crystal structure
```
Co2TePt
1.0
3.639 0.000 0.000
0.000 3.986 0.000
0.000 0.000 4.048
Co Te Pt
2 1 1
Cartesian
0.000 0.000 0.000
0.000 1.993 1.728
1.819 0.000 1.833
1.819 1.993 3.721
```

Top 6 peaks for 15° ≤ 2θ ≤ 90°, by angle:
2θ/deg, I_rel
24.46, 18
31.50, 20
40.28, 100
44.78, 17
45.52, 18
50.14, 14